# 1
Structure and computed powder X-ray diffraction pattern of Mg6V (a GGA-PBE-relaxed structure; Cu Kα (weighted mean of Kα1 and Kα2)).
Neutral-atom scattering factors, no anomalous dispersion.

Largest 10 diffraction maxima, in order of rising 2θ, 10° ≤ 2θ ≤ 80°:
| two_theta | d [Å] | intensity |
| --- | --- | --- |
| 17.73 | 5.003 | 385 |
| 34.32 | 2.613 | 205 |
| 35.90 | 2.502 | 1000 |
| 41.69 | 2.166 | 485 |
| 45.63 | 1.988 | 86 |
| 55.07 | 1.668 | 62 |
| 60.43 | 1.532 | 303 |
| 63.51 | 1.465 | 58 |
| 72.33 | 1.306 | 339 |
| 76.10 | 1.251 | 97 |

Atomic structure:
Cell lengths 6.1274, 6.1274, 6.1274 Å; angles 60.00, 60.00, 60.00 degrees
Positions (direct):
1 Mg 0.0000 0.0000 0.5000
2 Mg 0.0000 0.5000 0.0000
3 Mg 0.0000 0.5000 0.5000
4 Mg 0.5000 0.0000 0.0000
5 Mg 0.5000 0.0000 0.5000
6 Mg 0.5000 0.5000 0.0000
7 V 0.0000 0.0000 0.0000

# 2
Structure and computed powder X-ray diffraction pattern of HoSnGe (a GGA-PBE-relaxed structure; Cu Kα (weighted mean of Kα1 and Kα2)).
Neutral-atom scattering factors, no anomalous dispersion.

Largest 10 diffraction maxima, in order of rising 2θ, 10° ≤ 2θ ≤ 80°:
| two_theta | d [Å] | intensity |
| --- | --- | --- |
| 24.35 | 3.656 | 127 |
| 33.11 | 2.706 | 219 |
| 34.61 | 2.592 | 1000 |
| 34.74 | 2.582 | 121 |
| 42.43 | 2.130 | 155 |
| 44.24 | 2.047 | 138 |
| 54.85 | 1.674 | 106 |
| 60.11 | 1.539 | 106 |
| 72.60 | 1.302 | 133 |
| 75.17 | 1.264 | 108 |

Atomic structure:
Cell lengths 4.2604, 16.2341, 4.0949 Å; angles 90.00, 90.00, 90.00 degrees
Positions (direct):
1 Ho 0.0000 0.0939 0.2500
2 Ho 0.0000 0.9061 0.7500
3 Ho 0.5000 0.4061 0.7500
4 Ho 0.5000 0.5939 0.2500
5 Sn 0.0000 0.2560 0.7500
6 Sn 0.0000 0.7440 0.2500
7 Sn 0.5000 0.2440 0.2500
8 Sn 0.5000 0.7560 0.7500
9 Ge 0.0000 0.4451 0.2500
10 Ge 0.0000 0.5549 0.7500
11 Ge 0.5000 0.0549 0.7500
12 Ge 0.5000 0.9451 0.2500

# 3
Structure and computed powder X-ray diffraction pattern of U6Fe (a GGA-PBE-relaxed structure; Cu Kα (weighted mean of Kα1 and Kα2)).
Neutral-atom scattering factors, no anomalous dispersion.

Largest 10 diffraction maxima, in order of rising 2θ, 10° ≤ 2θ ≤ 80°:
| two_theta | d [Å] | intensity |
| --- | --- | --- |
| 34.14 | 2.627 | 283 |
| 36.23 | 2.480 | 1000 |
| 40.50 | 2.228 | 63 |
| 45.61 | 1.989 | 127 |
| 54.27 | 1.690 | 71 |
| 58.18 | 1.586 | 86 |
| 62.48 | 1.487 | 215 |
| 65.03 | 1.434 | 75 |
| 65.69 | 1.421 | 104 |
| 75.53 | 1.259 | 125 |

Atomic structure:
Cell lengths 7.6370, 7.6370, 7.6370 Å; angles 96.79, 96.79, 139.77 degrees
Positions (direct):
1 U 0.0939 0.5939 0.6878
2 U 0.1007 0.2176 0.3183
3 U 0.2176 0.8993 0.1168
4 U 0.2824 0.3993 0.6817
5 U 0.3993 0.7176 0.1168
6 U 0.4061 0.0939 0.5000
7 U 0.5939 0.9061 0.5000
8 U 0.6007 0.2824 0.8832
9 U 0.7176 0.6007 0.3183
10 U 0.7824 0.1007 0.8832
11 U 0.8993 0.7824 0.6817
12 U 0.9061 0.4061 0.3122
13 Fe 0.2500 0.2500 0.0000
14 Fe 0.7500 0.7500 0.0000

What is the formula in the third record?
U6Fe